The following is a calculated X-ray powder pattern of Na2CoGeO4. It was derived from a structure optimized by DFT (PBE+U), using λ = 1.5418 Å (Cu Kα).

Most intense lines, 5 to 70 degrees two-theta, sorted by position:
| d_spacing | I_rel |
| --- | --- |
| 6.256 | 86 |
| 4.115 | 93 |
| 2.875 | 99 |
| 2.731 | 88 |
| 2.715 | 85 |
| 2.544 | 100 |
| 1.753 | 53 |
| 1.475 | 42 |

Crystal structure
```
Na2CoGeO4
1.0
6.475 0.000 0.000
0.000 6.256 0.000
0.000 0.000 5.463
Na Co Ge O
4 2 2 8
direct
0.249 0.166 0.000 Na
0.251 0.834 0.500 Na
0.749 0.834 0.500 Na
0.751 0.166 0.000 Na
0.000 0.352 0.494 Co
0.500 0.648 0.994 Co
0.000 0.652 0.991 Ge
0.500 0.348 0.491 Ge
0.000 0.396 0.132 O
0.000 0.627 0.666 O
0.229 0.801 0.072 O
0.271 0.199 0.572 O
0.500 0.373 0.166 O
0.500 0.604 0.632 O
0.729 0.199 0.572 O
0.771 0.801 0.072 O
```

=====

The following is a calculated X-ray powder pattern of Na2CoGeO4. It was derived from a structure optimized by DFT (PBE+U), using λ = 1.5418 Å (Cu Kα).

Most intense lines, 5 to 70 degrees two-theta, sorted by position:
| d_spacing | I_rel |
| --- | --- |
| 4.469 | 53 |
| 4.330 | 62 |
| 3.050 | 42 |
| 2.843 | 40 |
| 2.704 | 56 |
| 2.657 | 100 |
| 1.678 | 29 |
| 1.552 | 34 |

Crystal structure
```
Na2CoGeO4
1.0
5.407 0.000 0.000
0.000 5.686 0.000
-5.404 0.000 7.229
Na Co Ge O
4 2 2 8
direct
0.000 0.177 0.000 Na
0.000 0.823 0.500 Na
0.748 0.322 0.244 Na
0.748 0.678 0.744 Na
0.265 0.314 0.751 Co
0.265 0.686 0.251 Co
0.516 0.185 0.497 Ge
0.516 0.815 0.997 Ge
0.227 0.347 0.295 O
0.227 0.653 0.795 O
0.406 0.118 0.971 O
0.406 0.882 0.471 O
0.580 0.295 0.703 O
0.580 0.705 0.203 O
0.869 0.207 0.523 O
0.869 0.793 0.023 O
```

=====

The following is a calculated X-ray powder pattern of Co10Ge3O16. It was derived from a structure optimized by DFT (PBE+U), using λ = 1.5418 Å (Cu Kα).

Most intense lines, 5 to 70 degrees two-theta, sorted by position:
| d_spacing | I_rel |
| --- | --- |
| 2.875 | 26 |
| 2.560 | 56 |
| 2.547 | 28 |
| 2.455 | 49 |
| 2.380 | 30 |
| 2.121 | 100 |
| 1.505 | 56 |
| 1.495 | 53 |

Crystal structure
```
Co10Ge3O16
1.0
3.010 1.738 9.730
-3.010 1.738 9.730
0.000 -3.475 9.730
Co Ge O
10 3 16
direct
0.000 0.000 0.000 Co
0.000 0.000 0.500 Co
0.000 0.500 0.000 Co
0.251 0.251 0.741 Co
0.251 0.741 0.251 Co
0.259 0.749 0.749 Co
0.500 0.000 0.000 Co
0.741 0.251 0.251 Co
0.749 0.259 0.749 Co
0.749 0.749 0.259 Co
0.311 0.311 0.311 Ge
0.500 0.500 0.500 Ge
0.689 0.689 0.689 Ge
0.123 0.123 0.123 O
0.128 0.128 0.621 O
0.128 0.621 0.128 O
0.162 0.612 0.612 O
0.373 0.373 0.373 O
0.379 0.872 0.872 O
0.388 0.388 0.838 O
0.388 0.838 0.388 O
0.612 0.162 0.612 O
0.612 0.612 0.162 O
0.621 0.128 0.128 O
0.627 0.627 0.627 O
0.838 0.388 0.388 O
0.872 0.379 0.872 O
0.872 0.872 0.379 O
0.877 0.877 0.877 O
```